Ca2Be3Au9: computed powder X-ray diffraction pattern (a wavelength of 1.5418 Å), based on the GGA-PBE geometry in Alexandria.

Structural model:
a b c (Å): 7.7320 7.7320 10.4893
angles (deg): 111.42 111.42 59.99
Positions (direct):
Ca  0.0853  0.2507  0.2498
Ca  0.2507  0.0853  0.7498
Ca  0.7493  0.9147  0.2502
Ca  0.9147  0.7493  0.7502
Be  0.0000  0.5000  0.0000
Be  0.1404  0.6800  0.4998
Be  0.3200  0.8596  0.0002
Be  0.5000  0.0000  0.5000
Be  0.6800  0.1404  0.9998
Be  0.8596  0.3200  0.5002
Au  0.0212  0.8555  0.0660
Au  0.1445  0.9788  0.4340
Au  0.1893  0.3554  0.5634
Au  0.1894  0.5827  0.2526
Au  0.3089  0.4810  0.9358
Au  0.3496  0.6504  0.7500
Au  0.3554  0.1893  0.0634
Au  0.4173  0.8106  0.2474
Au  0.4810  0.3089  0.4358
Au  0.5190  0.6911  0.5642
Au  0.5827  0.1894  0.7526
Au  0.6446  0.8107  0.9366
Au  0.6504  0.3496  0.2500
Au  0.6911  0.5190  0.0642
Au  0.8106  0.4173  0.7474
Au  0.8107  0.6446  0.4366
Au  0.8555  0.0212  0.5660
Au  0.9788  0.1445  0.9340

Top 6 peaks for 2θ from 10° to 90°, by intensity:
| 2θ/deg | Rel. int. |
| --- | --- |
| 36.6 | 100 |
| 40.4 | 87 |
| 29.8 | 72 |
| 36.7 | 48 |
| 29.8 | 38 |
| 70.9 | 31 |